Simulated PXRD pattern of PrSmMgZn for copper Kα, from a crystal structure in Alexandria, relaxed with GGA-PBE.
Kinematic intensities with the Lorentz-polarization factor, no thermal factor.

Top 8 peaks for 10° ≤ 2θ ≤ 90°, low angle first:
2θ 11.4, I = 17.7
2θ 22.8, I = 15.2
2θ 23.9, I = 31.0
2θ 33.3, I = 100.0
2θ 34.0, I = 50.7
2θ 48.9, I = 18.1
2θ 59.0, I = 15.1
2θ 60.4, I = 35.3

```
data_PrSmMgZn
_chemical_formula_sum 'Pr1 Sm1 Mg1 Zn1'
_cell_length_a 3.7261
_cell_length_b 3.7261
_cell_length_c 7.7869
_cell_angle_alpha 90.00
_cell_angle_beta 90.00
_cell_angle_gamma 90.00
_symmetry_space_group_name_H-M 'P 1'
_symmetry_Int_Tables_number 1
loop_
_symmetry_equiv_pos_as_xyz
'x,y,z'
loop_
_atom_site_label
_atom_site_fract_x
_atom_site_fract_y
_atom_site_fract_z
_atom_site_occupancy
Pr1 0.0000 0.0000 0.0000 1
Sm1 0.0000 0.0000 0.5478 1
Mg1 0.5000 0.5000 0.2804 1
Zn1 0.5000 0.5000 0.7624 1
```

Simulated PXRD pattern of YHoGaCo for copper Kα, from a crystal structure in Alexandria, relaxed with GGA-PBE.
Kinematic intensities with the Lorentz-polarization factor, no thermal factor.

Top 8 peaks for 10° ≤ 2θ ≤ 90°, low angle first:
2θ 27.0, I = 27.7
2θ 32.5, I = 100.0
2θ 34.3, I = 50.8
2θ 40.2, I = 26.6
2θ 40.6, I = 53.4
2θ 42.9, I = 27.2
2θ 46.9, I = 20.9
2θ 56.1, I = 24.6

```
data_YHoGaCo
_chemical_formula_sum 'Y1 Ho1 Ga1 Co1'
_cell_length_a 4.2165
_cell_length_b 5.6430
_cell_length_c 5.6430
_cell_angle_alpha 40.16
_cell_angle_beta 90.00
_cell_angle_gamma 90.00
_symmetry_space_group_name_H-M 'P 1'
_symmetry_Int_Tables_number 1
loop_
_symmetry_equiv_pos_as_xyz
'x,y,z'
loop_
_atom_site_label
_atom_site_fract_x
_atom_site_fract_y
_atom_site_fract_z
_atom_site_occupancy
Y1 0.0000 0.0000 0.0000 1
Ho1 0.5000 0.7164 0.7164 1
Ga1 0.5000 0.4225 0.4225 1
Co1 0.0000 0.2922 0.2922 1
```

Simulated PXRD pattern of Ho6In3Au for copper Kα, from a crystal structure in Alexandria, relaxed with GGA-PBE.
Kinematic intensities with the Lorentz-polarization factor, no thermal factor.

Top 8 peaks for 10° ≤ 2θ ≤ 90°, low angle first:
2θ 32.4, I = 35.1
2θ 33.7, I = 100.0
2θ 34.0, I = 85.4
2θ 34.2, I = 57.3
2θ 47.8, I = 23.8
2θ 60.9, I = 18.6
2θ 61.1, I = 15.7
2θ 61.4, I = 16.6

```
data_Ho6In3Au
_chemical_formula_sum 'Ho12 In6 Au2'
_cell_length_a 9.1769
_cell_length_b 5.2440
_cell_length_c 11.6839
_cell_angle_alpha 90.00
_cell_angle_beta 108.04
_cell_angle_gamma 90.00
_symmetry_space_group_name_H-M 'P 1'
_symmetry_Int_Tables_number 1
loop_
_symmetry_equiv_pos_as_xyz
'x,y,z'
loop_
_atom_site_label
_atom_site_fract_x
_atom_site_fract_y
_atom_site_fract_z
_atom_site_occupancy
Ho1 0.0346 0.2500 0.4144 1
Ho2 0.1698 0.7500 0.1657 1
Ho3 0.2727 0.2500 0.0035 1
Ho4 0.3499 0.7500 0.8168 1
Ho5 0.3619 0.2500 0.3328 1
Ho6 0.3981 0.2500 0.6256 1
Ho7 0.6019 0.7500 0.3744 1
Ho8 0.6381 0.7500 0.6672 1
Ho9 0.6501 0.2500 0.1832 1
Ho10 0.7273 0.7500 0.9965 1
Ho11 0.8302 0.2500 0.8343 1
Ho12 0.9654 0.7500 0.5856 1
In1 0.0233 0.7500 0.8788 1
In2 0.1169 0.2500 0.7192 1
In3 0.2757 0.7500 0.4673 1
In4 0.7243 0.2500 0.5327 1
In5 0.8831 0.7500 0.2808 1
In6 0.9767 0.2500 0.1212 1
Au1 0.4612 0.7500 0.1160 1
Au2 0.5388 0.2500 0.8840 1
```

Simulated PXRD pattern of Er4Ni2Pb for copper Kα, from a crystal structure in Alexandria, relaxed with GGA-PBE.
Kinematic intensities with the Lorentz-polarization factor, no thermal factor.

Top 8 peaks for 10° ≤ 2θ ≤ 90°, low angle first:
2θ 27.2, I = 70.4
2θ 38.9, I = 100.0
2θ 48.1, I = 18.9
2θ 56.2, I = 16.0
2θ 63.5, I = 23.0
2θ 70.4, I = 30.9
2θ 83.5, I = 9.4
2θ 89.9, I = 10.6

```
data_Er4Ni2Pb
_chemical_formula_sum 'Er4 Ni2 Pb1'
_cell_length_a 9.8244
_cell_length_b 9.8244
_cell_length_c 9.8244
_cell_angle_alpha 27.26
_cell_angle_beta 27.26
_cell_angle_gamma 27.26
_symmetry_space_group_name_H-M 'P 1'
_symmetry_Int_Tables_number 1
loop_
_symmetry_equiv_pos_as_xyz
'x,y,z'
loop_
_atom_site_label
_atom_site_fract_x
_atom_site_fract_y
_atom_site_fract_z
_atom_site_occupancy
Er1 0.1102 0.1102 0.1102 1
Er2 0.2994 0.2994 0.2994 1
Er3 0.7006 0.7006 0.7006 1
Er4 0.8898 0.8898 0.8898 1
Ni1 0.3991 0.3991 0.3991 1
Ni2 0.6009 0.6009 0.6009 1
Pb1 0.5000 0.5000 0.5000 1
```